# ThSb2As2Pd7
Theoretical powder XRD pattern, CuKα. Input: a cell relaxed with PBE.
Lines closer than 0.1° are merged.

Peak list (8 most intense, 15 to 90 degrees two-theta, sorted by position)
2θ 30.22, d 2.958, I 39.3; 2θ 34.28, d 2.616, I 46.8; 2θ 34.76, d 2.581, I 43.0; 2θ 36.10, d 2.488, I 52.7; 2θ 41.96, d 2.153, I 34.1; 2θ 42.80, d 2.113, I 36.9; 2θ 43.86, d 2.064, I 32.7; 2θ 44.47, d 2.037, I 100.0

Atomic structure:
```
ThSb2As2Pd7
1.0
2.8926 -2.8818 0.0000
2.8926 2.8818 0.0000
-1.6988 0.0000 14.7882
Th Sb As Pd
1 2 2 7
Direct
0.0000 0.0000 0.0000
0.1383 0.1383 0.4161
0.8617 0.8617 0.5839
0.4280 0.4280 0.7519
0.5720 0.5720 0.2481
0.0425 0.5431 0.1480
0.3598 0.3598 0.5855
0.4569 0.9575 0.8520
0.5000 0.5000 0.0000
0.5431 0.0425 0.1480
0.6402 0.6402 0.4145
0.9575 0.4569 0.8520
```

=====

# BeAlOs2
Theoretical powder XRD pattern, CuKα. Input: a cell relaxed with PBE.
Lines closer than 0.1° are merged.

Peak list (8 most intense, 15 to 90 degrees two-theta, sorted by position)
2θ 22.84, d 3.893, I 100.0; 2θ 37.60, d 2.392, I 25.3; 2θ 38.04, d 2.365, I 55.0; 2θ 39.80, d 2.265, I 33.3; 2θ 40.51, d 2.227, I 63.9; 2θ 46.66, d 1.947, I 21.6; 2θ 48.86, d 1.864, I 39.2; 2θ 54.81, d 1.675, I 17.6

Atomic structure:
```
BeAlOs2
1.0
3.9848 -1.3867 0.0000
3.9848 1.3867 0.0000
-1.0442 0.0000 4.7844
Be Al Os
1 1 2
Direct
0.0000 0.0000 0.0000
0.5000 0.5000 0.5000
0.2581 0.2581 0.7773
0.7419 0.7419 0.2227
```

=====

# Tl2AsPdS4
Theoretical powder XRD pattern, CuKα. Input: a cell relaxed with PBE.
Lines closer than 0.1° are merged.

Peak list (8 most intense, 15 to 90 degrees two-theta, sorted by position)
2θ 15.90, d 5.573, I 31.6; 2θ 19.69, d 4.509, I 68.2; 2θ 28.47, d 3.135, I 60.6; 2θ 28.61, d 3.120, I 100.0; 2θ 31.02, d 2.883, I 77.6; 2θ 33.01, d 2.714, I 49.3; 2θ 37.12, d 2.422, I 50.6; 2θ 47.75, d 1.905, I 43.2

Atomic structure:
```
Tl2AsPdS4
1.0
0.0000 6.1685 10.8483
3.2613 0.0000 10.8483
3.2613 6.1685 0.0000
Tl As Pd S
4 2 2 8
Direct
0.0523 0.0523 0.6977
0.3023 0.3023 0.9477
0.6977 0.6977 0.0523
0.9477 0.9477 0.3023
0.3750 0.3750 0.3750
0.6250 0.6250 0.6250
0.1250 0.1250 0.1250
0.8750 0.8750 0.8750
0.0020 0.3405 0.4659
0.3084 0.5341 0.6595
0.3405 0.0020 0.6916
0.4659 0.6916 0.0020
0.5341 0.3084 0.9980
0.6595 0.9980 0.3084
0.6916 0.4659 0.3405
0.9980 0.6595 0.5341
```

=====

# KSb2Se
Theoretical powder XRD pattern, CuKα. Input: a cell relaxed with PBE.
Lines closer than 0.1° are merged.

Peak list (8 most intense, 15 to 90 degrees two-theta, sorted by position)
2θ 21.67, d 4.101, I 44.6; 2θ 23.66, d 3.761, I 55.3; 2θ 29.86, d 2.992, I 100.0; 2θ 37.19, d 2.417, I 43.2; 2θ 39.23, d 2.297, I 51.0; 2θ 42.73, d 2.116, I 36.7; 2θ 49.40, d 1.845, I 47.3; 2θ 59.39, d 1.556, I 29.4

Atomic structure:
```
KSb2Se
1.0
4.2318 0.0000 0.0000
0.0000 4.2318 0.0000
0.0000 0.0000 8.2024
K Sb Se
1 2 1
Direct
0.0000 0.0000 0.0000
0.0000 0.0000 0.4549
0.5000 0.5000 0.5670
0.5000 0.5000 0.8726
```

=====

# AlCuPd5
Theoretical powder XRD pattern, CuKα. Input: a cell relaxed with PBE.
Lines closer than 0.1° are merged.

Peak list (8 most intense, 15 to 90 degrees two-theta, sorted by position)
2θ 31.53, d 2.837, I 15.2; 2θ 34.26, d 2.617, I 25.2; 2θ 41.52, d 2.175, I 100.0; 2θ 45.19, d 2.006, I 43.1; 2θ 61.86, d 1.500, I 11.9; 2θ 65.83, d 1.419, I 13.6; 2θ 73.12, d 1.294, I 13.0; 2θ 80.89, d 1.188, I 27.1

Atomic structure:
```
AlCuPd5
1.0
4.0128 0.0000 0.0000
0.0000 4.0128 0.0000
0.0000 0.0000 6.7748
Al Cu Pd
1 1 5
Direct
0.0000 0.0000 0.0000
0.5000 0.5000 0.5000
0.0000 0.0000 0.5000
0.0000 0.5000 0.2198
0.0000 0.5000 0.7802
0.5000 0.0000 0.2198
0.5000 0.0000 0.7802
```

=====

# Ac4Ir2Ru
Theoretical powder XRD pattern, CuKα. Input: a cell relaxed with PBE.
Lines closer than 0.1° are merged.

Peak list (8 most intense, 15 to 90 degrees two-theta, sorted by position)
2θ 25.74, d 3.461, I 28.5; 2θ 28.82, d 3.098, I 100.0; 2θ 29.75, d 3.003, I 95.9; 2θ 32.52, d 2.753, I 70.9; 2θ 37.41, d 2.404, I 46.4; 2θ 40.53, d 2.226, I 37.2; 2θ 42.71, d 2.117, I 37.3; 2θ 43.40, d 2.085, I 35.8

Atomic structure:
```
Ac4Ir2Ru
1.0
7.0155 -2.0850 0.0000
7.0155 2.0850 0.0000
-5.7393 0.0000 7.2479
Ac Ir Ru
4 2 1
Direct
0.0605 0.0605 0.3636
0.3169 0.3169 0.9038
0.6831 0.6831 0.0962
0.9395 0.9395 0.6364
0.3888 0.3888 0.3148
0.6112 0.6112 0.6852
0.0000 0.0000 0.0000
```

=====

# TmAgSe2
Theoretical powder XRD pattern, CuKα. Input: a cell relaxed with PBE.
Lines closer than 0.1° are merged.

Peak list (8 most intense, 15 to 90 degrees two-theta, sorted by position)
2θ 24.79, d 3.592, I 40.0; 2θ 28.08, d 3.177, I 99.8; 2θ 31.73, d 2.820, I 50.2; 2θ 36.35, d 2.471, I 71.3; 2θ 37.26, d 2.413, I 100.0; 2θ 39.29, d 2.293, I 41.5; 2θ 45.19, d 2.007, I 47.1; 2θ 45.48, d 1.994, I 37.6

Atomic structure:
```
TmAgSe2
1.0
4.2210 0.0000 0.0000
0.0000 6.8094 0.0000
0.0000 0.0000 13.6856
Tm Ag Se
4 4 8
Direct
0.2189 0.2083 0.3721
0.2811 0.7917 0.8721
0.7189 0.2917 0.6279
0.7811 0.7083 0.1279
0.0099 0.7081 0.3737
0.4901 0.2919 0.8737
0.5099 0.7919 0.6263
0.9901 0.2081 0.1263
0.2205 0.0864 0.7257
0.2257 0.4865 0.5275
0.2743 0.5135 0.0275
0.2795 0.9136 0.2257
0.7205 0.4136 0.2743
0.7257 0.0135 0.4725
0.7743 0.9865 0.9725
0.7795 0.5864 0.7743
```

=====

# InPd
Theoretical powder XRD pattern, CuKα. Input: a cell relaxed with PBE.
Lines closer than 0.1° are merged.

Peak list (6 most intense, 15 to 90 degrees two-theta, sorted by position)
2θ 32.64, d 2.744, I 100.0; 2θ 46.83, d 1.940, I 71.6; 2θ 58.24, d 1.584, I 24.4; 2θ 68.38, d 1.372, I 11.2; 2θ 77.85, d 1.227, I 30.8; 2θ 86.98, d 1.120, I 23.7

Atomic structure:
```
InPd
1.0
0.0000 2.7437 2.7437
2.7437 0.0000 2.7437
2.7437 2.7437 0.0000
In Pd
1 1
Direct
0.0000 0.0000 0.0000
0.5000 0.5000 0.5000
```

=====

Q: What is the formula in the fifth record?
A: AlCuPd5